The following is a calculated XRD peak list of NdZn10Ag2. It was derived from a crystal structure in Alexandria, relaxed with PBE, using CuKα.
Intensities are scaled so that the largest is 100.

Cell and atoms:
abc: 5.4494 6.8236 6.9852
angles: 81.11 67.12 67.01
Space group P-1 (No. 2)
Symmetry-distinct sites (fractional):
Nd  0.0000  0.0000  0.0000
Zn  0.0000  0.5000  0.0000
Zn  0.0027  0.6391  0.3500
Zn  0.2833  0.2209  0.2120
Zn  0.3560  0.6389  0.6501
Zn  0.4960  0.2201  0.7884
Zn  0.5000  0.5000  0.0000
Ag  0.0000  0.0000  0.5000
Ag  0.5000  0.0000  0.5000

Top 10 peaks for 2θ from 5° to 70°, in order of rising 2θ:
- d = 2.618 Å, 34.2°, rel. 39.3
- d = 2.337 Å, 38.5°, rel. 87.4
- d = 2.323 Å, 38.8°, rel. 86.9
- d = 2.290 Å, 39.3°, rel. 41.5
- d = 2.287 Å, 39.4°, rel. 40.8
- d = 2.253 Å, 40.0°, rel. 100.0
- d = 2.243 Å, 40.2°, rel. 77.7
- d = 2.079 Å, 43.5°, rel. 49.1
- d = 2.068 Å, 43.8°, rel. 22.3
- d = 1.991 Å, 45.6°, rel. 21.8